Record 1
Calculated XRD peak list
Compound: Li3AsF6
Radiation: Cu Kα
Structure: a DFT-relaxed cell (GGA-PBE, the Materials Project)
Kinematic intensities with the Lorentz-polarization factor, no thermal factor.

Cell and atoms:
```
Li3AsF6
1.0
5.1377 0.0000 0.0000
0.3676 5.5348 0.0000
2.2217 2.4253 4.8310
Li As F
3 1 6
direct
0.0000 0.0000 0.0000
0.0000 0.5000 0.0000
0.5000 0.0000 0.5000
0.0000 0.5000 0.5000
0.1492 0.7449 0.6164
0.2314 0.7021 0.0708
0.2631 0.2259 0.6330
0.7369 0.7741 0.3670
0.7686 0.2979 0.9292
0.8508 0.2551 0.3836
```

Largest 12 diffraction maxima, in order of falling intensity, 5 to 70 degrees two-theta:
Position (°2θ)  I (rel.)  h k l
18.81  100  1 0 0
18.36  77  0 0 1
23.04  65  1 1 1
24.45  61  1 -1 0
17.93  59  0 1 0
19.07  49  0 1 1
41.51  39  2 -1 1
38.36  32  1 2 2
31.26  27  1 0 -1
48.61  22  1 0 -2
47.09  21  2 2 2
37.22  20  0 0 2



Record 2
Calculated XRD peak list
Compound: Li3AsF6
Radiation: Cu Kα
Structure: a DFT-relaxed cell (GGA-PBE, the Materials Project)
Kinematic intensities with the Lorentz-polarization factor, no thermal factor.

Cell and atoms:
```
Li3AsF6
1.0
5.4178 0.0000 0.0000
-0.4573 5.6827 0.0000
-1.5977 -0.2207 7.0175
Li As F
3 1 6
direct
0.0000 0.0000 0.0000
0.0000 0.5000 0.5000
0.5000 0.0000 0.0000
0.0000 0.5000 0.0000
0.0323 0.6135 0.7338
0.2559 0.7931 0.1027
0.2584 0.2473 0.9995
0.7416 0.7527 0.0005
0.7441 0.2069 0.8973
0.9677 0.3865 0.2662
```

Largest 12 diffraction maxima, in order of falling intensity, 5 to 70 degrees two-theta:
Position (°2θ)  I (rel.)  h k l
12.61  100  0 0 1
16.84  32  1 0 0
15.60  22  0 1 0
22.02  16  1 -1 0
24.01  11  1 1 0
18.67  11  1 0 -1
44.89  10  2 -2 0
25.38  9  0 0 2
29.18  8  1 1 1
38.47  8  1 0 -3
23.74  5  -1 1 1
41.07  5  1 2 1